No. 1
Structure and theoretical powder diffraction line list of AlGeH2S4 (the GGA-PBE geometry in Alexandria; copper Kα).
Peak positions follow from Bragg's law for the DFT cell and can differ from measured ones.

Structural model:
Lattice parameters (Å, degrees): 6.920 7.393 6.348 90.00 90.00 90.00
Space group Pmn2_1 (No. 31)
Inequivalent atoms, fractional coordinates:
Al: 0.000 0.150 0.000
Ge: 0.000 0.846 0.502
H: 0.250 0.147 0.627
S: 0.000 0.153 0.634
S: 0.000 0.853 0.116
S: 0.248 0.310 0.117

Most intense lines, 15° ≤ 2θ ≤ 90°, by angle:
- d = 4.816 Å, 2θ 18.4, I 1000, hkl 0 1 1
- d = 3.696 Å, 2θ 24.1, I 373, hkl 0 2 0
- d = 3.174 Å, 2θ 28.1, I 681, hkl 0 0 2
- d = 3.134 Å, 2θ 28.5, I 612, hkl 2 1 0
- d = 2.007 Å, 2θ 45.2, I 524, hkl 2 3 0
- d = 1.754 Å, 2θ 52.2, I 432, hkl 2 1 3

---

No. 2
Structure and theoretical powder diffraction line list of Hf3AlGe5 (the GGA-PBE geometry in Alexandria; copper Kα).
Peak positions follow from Bragg's law for the DFT cell and can differ from measured ones.

Structural model:
Lattice parameters (Å, degrees): 3.803 3.851 44.181 90.00 90.00 90.00
Space group Amm2 (No. 38)
Inequivalent atoms, fractional coordinates:
Hf: 0.000 0.000 0.000
Hf: 0.000 0.000 0.332
Hf: 0.000 0.000 0.665
Hf: 0.500 0.000 0.265
Hf: 0.500 0.000 0.597
Hf: 0.500 0.000 0.932
Al: 0.500 0.000 0.382
Al: 0.500 0.000 0.715
Ge: 0.000 0.000 0.111
Ge: 0.000 0.000 0.215
Ge: 0.000 0.000 0.442
Ge: 0.000 0.000 0.548
Ge: 0.000 0.000 0.776
Ge: 0.000 0.000 0.881
Ge: 0.500 0.000 0.049
Ge: 0.500 0.000 0.154
Ge: 0.500 0.000 0.485
Ge: 0.500 0.000 0.820

Most intense lines, 15° ≤ 2θ ≤ 90°, by angle:
- d = 3.379 Å, 2θ 26.4, I 196, hkl 1 0 6
- d = 2.455 Å, 2θ 36.6, I 199, hkl 0 0 18
- d = 2.370 Å, 2θ 38.0, I 1000, hkl 1 1 9
- d = 1.926 Å, 2θ 47.2, I 149, hkl 0 2 0
- d = 1.901 Å, 2θ 47.8, I 143, hkl 2 0 0
- d = 1.181 Å, 2θ 81.5, I 167, hkl 1 3 9

---

No. 3
Structure and theoretical powder diffraction line list of HfAl6Ge (the GGA-PBE geometry in Alexandria; copper Kα).
Peak positions follow from Bragg's law for the DFT cell and can differ from measured ones.

Structural model:
Lattice parameters (Å, degrees): 7.7056 7.7056 9.3091 90.00 90.00 120.00
Space group R-3m (No. 166, hexagonal axes)
Inequivalent atoms, fractional coordinates:
Hf: 0.0000 0.0000 0.0000
Al: 0.0872 0.5436 0.3762
Ge: 0.0000 0.0000 0.5000

Most intense lines, 15° ≤ 2θ ≤ 90°, by angle:
- d = 5.424 Å, 2θ 16.3, I 415, hkl 1 0 1
- d = 3.853 Å, 2θ 23.1, I 1000, hkl 1 1 0
- d = 3.818 Å, 2θ 23.3, I 665, hkl 0 1 2
- d = 2.712 Å, 2θ 33.0, I 453, hkl 2 0 2
- d = 2.218 Å, 2θ 40.7, I 970, hkl 1 2 2
- d = 2.197 Å, 2θ 41.1, I 402, hkl 1 0 4

---

No. 4
Structure and theoretical powder diffraction line list of Al2HgGe2 (the GGA-PBE geometry in Alexandria; copper Kα).
Peak positions follow from Bragg's law for the DFT cell and can differ from measured ones.

Structural model:
Lattice parameters (Å, degrees): 8.171 8.171 2.950 90.00 90.00 90.00
Space group P4/mbm (No. 127)
Inequivalent atoms, fractional coordinates:
Al: 0.150 0.350 0.000
Hg: 0.000 0.000 0.000
Ge: 0.143 0.643 0.500

Most intense lines, 15° ≤ 2θ ≤ 90°, by angle:
- d = 5.778 Å, 2θ 15.3, I 492, hkl 1 1 0
- d = 4.086 Å, 2θ 21.8, I 352, hkl 2 0 0
- d = 2.627 Å, 2θ 34.1, I 609, hkl 1 1 1
- d = 2.584 Å, 2θ 34.7, I 1000, hkl 3 1 0
- d = 2.392 Å, 2θ 37.6, I 382, hkl 2 0 1
- d = 2.295 Å, 2θ 39.3, I 349, hkl 2 1 1

---

No. 5
Structure and theoretical powder diffraction line list of Ho2AlGe2 (the GGA-PBE geometry in Alexandria; copper Kα).
Peak positions follow from Bragg's law for the DFT cell and can differ from measured ones.

Structural model:
Lattice parameters (Å, degrees): 4.046 6.136 8.600 90.00 90.00 90.00
Space group Immm (No. 71)
Inequivalent atoms, fractional coordinates:
Ho: 0.000 0.000 0.213
Al: 0.000 0.500 0.000
Ge: 0.000 0.284 0.500

Most intense lines, 15° ≤ 2θ ≤ 90°, by angle:
- d = 3.378 Å, 2θ 26.4, I 544, hkl 1 1 0
- d = 2.656 Å, 2θ 33.7, I 1000, hkl 1 1 2
- d = 2.498 Å, 2θ 36.0, I 555, hkl 0 2 2
- d = 2.352 Å, 2θ 38.3, I 333, hkl 1 2 1
- d = 2.339 Å, 2θ 38.5, I 317, hkl 1 0 3
- d = 1.572 Å, 2θ 58.7, I 268, hkl 2 2 2

---

No. 6
Structure and theoretical powder diffraction line list of HoAl3Ge3 (the GGA-PBE geometry in Alexandria; copper Kα).
Peak positions follow from Bragg's law for the DFT cell and can differ from measured ones.

Structural model:
Lattice parameters (Å, degrees): 10.0645 10.0645 4.0222 90.00 90.00 120.00
Space group P6_3/m (No. 176)
Inequivalent atoms, fractional coordinates:
Ho: 0.3333 0.6667 0.2500
Al: 0.0513 0.6369 0.7500
Ge: 0.1133 0.4136 0.7500

Most intense lines, 15° ≤ 2θ ≤ 90°, by angle:
- d = 3.294 Å, 2θ 27.1, I 252, hkl 2 1 0
- d = 2.956 Å, 2θ 30.2, I 1000, hkl 2 0 1
- d = 2.905 Å, 2θ 30.8, I 392, hkl 3 0 0
- d = 2.549 Å, 2θ 35.2, I 974, hkl 2 1 1
- d = 1.902 Å, 2θ 47.8, I 359, hkl 4 1 0
- d = 1.791 Å, 2θ 51.0, I 383, hkl 2 3 1

---

Repeat the first record exactly.
Structure and theoretical powder diffraction line list of AlGeH2S4 (the GGA-PBE geometry in Alexandria; copper Kα).
Peak positions follow from Bragg's law for the DFT cell and can differ from measured ones.

Structural model:
Lattice parameters (Å, degrees): 6.920 7.393 6.348 90.00 90.00 90.00
Space group Pmn2_1 (No. 31)
Inequivalent atoms, fractional coordinates:
Al: 0.000 0.150 0.000
Ge: 0.000 0.846 0.502
H: 0.250 0.147 0.627
S: 0.000 0.153 0.634
S: 0.000 0.853 0.116
S: 0.248 0.310 0.117

Most intense lines, 15° ≤ 2θ ≤ 90°, by angle:
- d = 4.816 Å, 2θ 18.4, I 1000, hkl 0 1 1
- d = 3.696 Å, 2θ 24.1, I 373, hkl 0 2 0
- d = 3.174 Å, 2θ 28.1, I 681, hkl 0 0 2
- d = 3.134 Å, 2θ 28.5, I 612, hkl 2 1 0
- d = 2.007 Å, 2θ 45.2, I 524, hkl 2 3 0
- d = 1.754 Å, 2θ 52.2, I 432, hkl 2 1 3

---

Question: What is the formula in the second record?
Answer: Hf3AlGe5

---

Copy entry 5 word for word.
Structure and theoretical powder diffraction line list of Ho2AlGe2 (the GGA-PBE geometry in Alexandria; copper Kα).
Peak positions follow from Bragg's law for the DFT cell and can differ from measured ones.

Structural model:
Lattice parameters (Å, degrees): 4.046 6.136 8.600 90.00 90.00 90.00
Space group Immm (No. 71)
Inequivalent atoms, fractional coordinates:
Ho: 0.000 0.000 0.213
Al: 0.000 0.500 0.000
Ge: 0.000 0.284 0.500

Most intense lines, 15° ≤ 2θ ≤ 90°, by angle:
- d = 3.378 Å, 2θ 26.4, I 544, hkl 1 1 0
- d = 2.656 Å, 2θ 33.7, I 1000, hkl 1 1 2
- d = 2.498 Å, 2θ 36.0, I 555, hkl 0 2 2
- d = 2.352 Å, 2θ 38.3, I 333, hkl 1 2 1
- d = 2.339 Å, 2θ 38.5, I 317, hkl 1 0 3
- d = 1.572 Å, 2θ 58.7, I 268, hkl 2 2 2

---

Repeat the first record exactly.
Structure and theoretical powder diffraction line list of AlGeH2S4 (the GGA-PBE geometry in Alexandria; copper Kα).
Peak positions follow from Bragg's law for the DFT cell and can differ from measured ones.

Structural model:
Lattice parameters (Å, degrees): 6.920 7.393 6.348 90.00 90.00 90.00
Space group Pmn2_1 (No. 31)
Inequivalent atoms, fractional coordinates:
Al: 0.000 0.150 0.000
Ge: 0.000 0.846 0.502
H: 0.250 0.147 0.627
S: 0.000 0.153 0.634
S: 0.000 0.853 0.116
S: 0.248 0.310 0.117

Most intense lines, 15° ≤ 2θ ≤ 90°, by angle:
- d = 4.816 Å, 2θ 18.4, I 1000, hkl 0 1 1
- d = 3.696 Å, 2θ 24.1, I 373, hkl 0 2 0
- d = 3.174 Å, 2θ 28.1, I 681, hkl 0 0 2
- d = 3.134 Å, 2θ 28.5, I 612, hkl 2 1 0
- d = 2.007 Å, 2θ 45.2, I 524, hkl 2 3 0
- d = 1.754 Å, 2θ 52.2, I 432, hkl 2 1 3